1.
# Dy9Ho3Tm2
Calculated PXRD pattern, Cu Kα X-rays. Input: a structure optimized by DFT (GGA-PBE).

Structural model:
a b c (Å): 8.569 8.569 10.200
angles (deg): 105.14 105.14 37.77
Positions (direct):
Dy  0.000  0.000  0.000
Dy  0.030  0.030  0.335
Dy  0.170  0.170  0.836
Dy  0.257  0.257  0.558
Dy  0.376  0.376  0.033
Dy  0.587  0.587  0.187
Dy  0.625  0.625  0.564
Dy  0.792  0.792  0.389
Dy  0.825  0.825  0.757
Ho  0.207  0.207  0.196
Ho  0.752  0.752  0.033
Ho  0.987  0.987  0.617
Tm  0.420  0.420  0.401
Tm  0.517  0.517  0.820

Most intense lines, 2θ from 10° to 90°, in order of falling intensity:
two_theta, I_rel
32.33, 100
32.64, 34
32.96, 23
57.60, 19
31.99, 18
33.15, 12
33.66, 12
57.79, 10
32.50, 10
46.94, 9

2.
# Dy2Ho2Tm7
Calculated PXRD pattern, Cu Kα X-rays. Input: a structure optimized by DFT (GGA-PBE).

Structural model:
a b c (Å): 6.203 6.478 8.619
angles (deg): 99.34 95.59 92.75
Positions (direct):
Dy  0.064  0.137  0.363
Dy  0.936  0.863  0.637
Ho  0.180  0.826  0.991
Ho  0.820  0.174  0.009
Tm  0.046  0.393  0.726
Tm  0.349  0.349  0.093
Tm  0.453  0.063  0.700
Tm  0.500  0.500  0.500
Tm  0.547  0.937  0.300
Tm  0.651  0.651  0.907
Tm  0.954  0.607  0.274

Most intense lines, 2θ from 10° to 90°, in order of falling intensity:
two_theta, I_rel
32.13, 100
32.38, 83
33.47, 75
32.50, 62
33.58, 52
34.14, 43
29.79, 24
30.72, 23
33.05, 23
31.74, 21